1.
# WO3
Calculated X-ray powder pattern, Cu Kα X-rays. Input: a cell relaxed with GGA+U.
Intensities are scaled so that the largest is 1000.

Lattice parameters (Å, degrees): 3.944 7.781 7.539 90.00 90.10 90.00
Space group P2_1/c (No. 14)
Inequivalent atoms, fractional coordinates:
W  0.054  0.216  0.245 [4 per cell]
O  0.001  0.250  0.498 [4 per cell]
O  0.001  0.513  0.749 [4 per cell]
O  0.494  0.730  0.251 [4 per cell]

Largest 10 diffraction maxima, low angle first, 10° ≤ 2θ ≤ 80°:
- 22.55 deg, d 3.944, intensity 1000
- 22.86 deg, d 3.891, intensity 902
- 23.60 deg, d 3.770, intensity 992
- 25.77 deg, d 3.457, intensity 239
- 32.32 deg, d 2.770, intensity 437
- 32.87 deg, d 2.725, intensity 511
- 33.09 deg, d 2.707, intensity 461
- 40.41 deg, d 2.232, intensity 290
- 48.30 deg, d 1.884, intensity 355
- 53.93 deg, d 1.700, intensity 359



2.
# WO3
Calculated X-ray powder pattern, Cu Kα X-rays. Input: a cell relaxed with GGA+U.
Intensities are scaled so that the largest is 1000.

Lattice parameters (Å, degrees): 7.616 7.616 7.616 90.00 90.00 90.00
Space group Im-3 (No. 204)
Inequivalent atoms, fractional coordinates:
W  0.250  0.250  0.250 [8 per cell]
O  0.000  0.219  0.278 [24 per cell]

Largest 9 diffraction maxima, low angle first, 10° ≤ 2θ ≤ 80°:
- 23.36 deg, d 3.808, intensity 1000
- 33.27 deg, d 2.693, intensity 570
- 41.05 deg, d 2.199, intensity 156
- 47.77 deg, d 1.904, intensity 184
- 53.83 deg, d 1.703, intensity 410
- 59.46 deg, d 1.555, intensity 249
- 69.86 deg, d 1.346, intensity 106
- 74.80 deg, d 1.269, intensity 186
- 79.61 deg, d 1.204, intensity 103



3.
# WO2
Calculated X-ray powder pattern, Cu Kα X-rays. Input: a cell relaxed with GGA+U.
Intensities are scaled so that the largest is 1000.

Lattice parameters (Å, degrees): 11.197 6.542 15.032 90.00 90.48 90.00
Space group Cm (No. 8)
Inequivalent atoms, fractional coordinates:
W  0.000  0.000  0.000 [2 per cell]
W  0.000  0.000  0.387 [2 per cell]
W  0.088  0.261  0.171 [4 per cell]
W  0.164  0.000  0.818 [2 per cell]
W  0.168  0.500  0.704 [2 per cell]
W  0.254  0.239  0.492 [4 per cell]
W  0.325  0.500  0.172 [2 per cell]
W  0.420  0.252  0.826 [4 per cell]
W  0.494  0.000  0.491 [2 per cell]
O  0.008  0.500  0.757 [2 per cell]
O  0.019  0.500  0.232 [2 per cell]
O  0.068  0.206  0.905 [4 per cell]
O  0.086  0.255  0.421 [4 per cell]
O  0.135  0.000  0.094 [2 per cell]
O  0.169  0.500  0.567 [2 per cell]
O  0.173  0.500  0.099 [2 per cell]
O  0.184  0.000  0.556 [2 per cell]
O  0.250  0.266  0.229 [4 per cell]
O  0.255  0.261  0.751 [4 per cell]
O  0.328  0.500  0.422 [2 per cell]
O  0.332  0.000  0.419 [2 per cell]
O  0.339  0.000  0.880 [2 per cell]
O  0.361  0.500  0.908 [2 per cell]
O  0.412  0.223  0.555 [4 per cell]
O  0.430  0.300  0.098 [4 per cell]
O  0.485  0.500  0.756 [2 per cell]
O  0.496  0.500  0.251 [2 per cell]

Largest 10 diffraction maxima, low angle first, 10° ≤ 2θ ≤ 80°:
- 16.78 deg, d 5.283, intensity 411
- 17.70 deg, d 5.010, intensity 1000
- 19.65 deg, d 4.517, intensity 436
- 32.23 deg, d 2.778, intensity 729
- 32.59 deg, d 2.748, intensity 346
- 32.74 deg, d 2.735, intensity 451
- 33.96 deg, d 2.640, intensity 583
- 34.08 deg, d 2.630, intensity 239
- 39.85 deg, d 2.262, intensity 438
- 56.80 deg, d 1.621, intensity 302